For KBaMoO4, a crystal structure in Alexandria, relaxed with GGA+U gives the calculated powder X-ray diffraction pattern in this record (Cu Kα (λ = 1.5418 Å)).
Neutral-atom scattering factors, no anomalous dispersion.

Most intense lines, 15 to 90 degrees two-theta, sorted by position:
- 16.7 deg, I 21
- 18.1 deg, I 77
- 26.7 deg, I 100
- 27.6 deg, I 41
- 28.5 deg, I 56
- 29.2 deg, I 37
- 30.7 deg, I 22
- 31.7 deg, I 74
- 37.7 deg, I 21
- 40.1 deg, I 41
- 44.9 deg, I 31
- 62.2 deg, I 19

Structural model:
```
KBaMoO4
1.0
6.9997 0.0000 0.0000
0.0000 6.2646 0.0000
-0.2310 0.0000 7.8863
K Ba Mo O
2 2 2 8
direct
0.1151 0.2500 0.1420
0.8849 0.7500 0.8580
0.3310 0.2500 0.5983
0.6690 0.7500 0.4017
0.1690 0.7500 0.3604
0.8310 0.2500 0.6396
0.0147 0.2500 0.8143
0.0892 0.7500 0.5790
0.3436 0.5190 0.3401
0.3436 0.9810 0.3401
0.6564 0.0190 0.6599
0.6564 0.4810 0.6599
0.9108 0.2500 0.4210
0.9853 0.7500 0.1857
```